Calculated powder XRD pattern of Li4Mn3OF8 for Cu Kα, from a structure optimized by DFT (GGA+U).

Main lines, sorted by position (2θ = 10–90°):
two_theta	intensity
15.51	60
21.43	100
32.85	53
39.90	33
42.01	53
44.68	35

Crystal structure
a = 9.883 Å, b = 2.988 Å, c = 11.690 Å
α = 90.00°, β = 102.11°, γ = 90.00°
Space group Cm (No. 8)
Symmetry-distinct sites (fractional):
1 Li 0.000 0.000 0.000 (multiplicity 2)
2 Li 0.094 0.000 0.315 (multiplicity 2)
3 Li 0.220 0.500 0.893 (multiplicity 2)
4 Li 0.367 0.500 0.437 (multiplicity 2)
5 Mn 0.120 0.500 0.560 (multiplicity 2)
6 Mn 0.301 0.000 0.151 (multiplicity 2)
7 Mn 0.437 0.000 0.721 (multiplicity 2)
8 O 0.492 0.500 0.605 (multiplicity 2)
9 F 0.058 0.000 0.848 (multiplicity 2)
10 F 0.161 0.500 0.049 (multiplicity 2)
11 F 0.235 0.000 0.481 (multiplicity 2)
12 F 0.235 0.500 0.275 (multiplicity 2)
13 F 0.273 0.500 0.731 (multiplicity 2)
14 F 0.356 0.000 0.960 (multiplicity 2)
15 F 0.459 0.500 0.164 (multiplicity 2)
16 F 0.489 0.000 0.380 (multiplicity 2)